[1]
Sm3Ge6Pd2Pt: calculated powder diffractogram (a wavelength of 1.5418 Å), based on a crystal structure in Alexandria, relaxed with PBE.
Intensities are scaled so that the largest is 100.

Largest 12 diffraction maxima, low angle first, 10° ≤ 2θ ≤ 90°:
(0 1 2), 27.67°, 3.224 Å, I = 37; (1 1 0), 30.35°, 2.945 Å, I = 84; (0 2 1), 36.87°, 2.438 Å, I = 77; (1 1 2), 37.42°, 2.404 Å, I = 100; (2 0 2), 41.53°, 2.174 Å, I = 48; (0 1 4), 47.18°, 1.927 Å, I = 29; (3 0 0), 53.94°, 1.700 Å, I = 17; (1 0 5), 58.31°, 1.582 Å, I = 15; (0 3 2), 58.66°, 1.574 Å, I = 29; (2 2 0), 63.15°, 1.472 Å, I = 31; (1 2 4), 66.08°, 1.414 Å, I = 22; (2 1 5), 75.45°, 1.260 Å, I = 21

Atomic structure:
Cell lengths 5.8893, 5.8893, 8.3210 Å; angles 90.00, 90.00, 120.00 degrees
Space group P-3m1 (No. 164)
Unique sites:
Sm 0.0000 0.0000 0.0000 (multiplicity 1)
Sm 0.3333 0.6667 0.6095 (multiplicity 2)
Ge 0.1839 0.3677 0.2785 (multiplicity 6)
Pd 0.3333 0.6667 0.0168 (multiplicity 2)
Pt 0.0000 0.0000 0.5000 (multiplicity 1)

=====

[2]
Zn6Co2Cu: calculated powder diffractogram (a wavelength of 1.5418 Å), based on a crystal structure in Alexandria, relaxed with PBE.
Intensities are scaled so that the largest is 100.

Largest 12 diffraction maxima, low angle first, 10° ≤ 2θ ≤ 90°:
(0 2 0), 13.36°, 6.629 Å, I = 11; (1 3 1), 32.80°, 2.731 Å, I = 13; (3 3 -1), 38.17°, 2.358 Å, I = 19; (1 5 -1), 40.26°, 2.240 Å, I = 11; (0 6 0), 40.84°, 2.210 Å, I = 38; (3 1 1), 41.50°, 2.176 Å, I = 40; (1 1 -2), 42.74°, 2.116 Å, I = 100; (1 5 1), 42.89°, 2.108 Å, I = 23; (3 3 1), 45.99°, 1.974 Å, I = 24; (2 6 -1), 48.65°, 1.872 Å, I = 11; (4 4 -1), 49.23°, 1.851 Å, I = 19; (1 5 -2), 55.08°, 1.667 Å, I = 15

Atomic structure:
Cell lengths 9.350, 13.258, 4.289 Å; angles 90.00, 104.00, 90.00 degrees
Space group C2/c (No. 15)
Unique sites:
Zn 0.100 0.245 0.064 (multiplicity 8)
Zn 0.149 0.423 0.822 (multiplicity 8)
Zn 0.193 0.119 0.596 (multiplicity 8)
Co 0.080 0.064 0.039 (multiplicity 8)
Cu 0.000 0.408 0.250 (multiplicity 4)

=====

[3]
Tb2Dy6Tm5: calculated powder diffractogram (a wavelength of 1.5418 Å), based on a crystal structure in Alexandria, relaxed with PBE.
Intensities are scaled so that the largest is 100.

Largest 12 diffraction maxima, low angle first, 10° ≤ 2θ ≤ 90°:
(0 4 1), 30.93°, 2.891 Å, I = 26; (4 1 0), 31.33°, 2.855 Å, I = 54; (1 4 1), 31.91°, 2.805 Å, I = 50; (1 7 0), 32.34°, 2.769 Å, I = 98; (2 3 1), 32.54°, 2.752 Å, I = 100; (2 4 1), 34.70°, 2.585 Å, I = 36; (3 6 0), 35.69°, 2.516 Å, I = 18; (3 3 1), 37.02°, 2.428 Å, I = 31; (0 0 2), 51.51°, 1.774 Å, I = 23; (6 2 1), 55.12°, 1.666 Å, I = 20; (6 4 1), 57.59°, 1.600 Å, I = 29; (1 7 2), 62.14°, 1.494 Å, I = 31

Atomic structure:
Cell lengths 11.539, 19.955, 3.548 Å; angles 90.00, 90.00, 90.00 degrees
Space group Pbam (No. 55)
Unique sites:
Tb 0.165 0.211 0.000 (multiplicity 4)
Dy 0.058 0.920 0.000 (multiplicity 4)
Dy 0.084 0.632 0.000 (multiplicity 4)
Dy 0.173 0.368 0.500 (multiplicity 4)
Tm 0.000 0.500 0.500 (multiplicity 2)
Tm 0.093 0.774 0.500 (multiplicity 4)
Tm 0.199 0.051 0.500 (multiplicity 4)

=====

[4]
Tb7PrHo3: calculated powder diffractogram (a wavelength of 1.5418 Å), based on a crystal structure in Alexandria, relaxed with PBE.
Intensities are scaled so that the largest is 100.

Largest 12 diffraction maxima, low angle first, 10° ≤ 2θ ≤ 90°:
(2 0 1), 30.96°, 2.888 Å, I = 100; (0 0 3), 31.16°, 2.870 Å, I = 33; (0 2 2), 35.96°, 2.497 Å, I = 67; (2 2 0), 51.63°, 1.770 Å, I = 24; (2 0 4), 51.90°, 1.762 Å, I = 24; (0 4 1), 61.43°, 1.509 Å, I = 14; (2 2 3), 61.55°, 1.507 Å, I = 28; (0 2 5), 61.79°, 1.501 Å, I = 14; (4 0 2), 64.52°, 1.444 Å, I = 12; (4 2 1), 84.32°, 1.149 Å, I = 12; (2 4 2), 87.09°, 1.119 Å, I = 11; (2 2 6), 87.51°, 1.115 Å, I = 11

Atomic structure:
Cell lengths 7.0809, 7.0809, 8.6101 Å; angles 90.00, 90.00, 120.00 degrees
Space group P3m1 (No. 156)
Unique sites:
Tb 0.0000 0.0000 0.0000 (multiplicity 1)
Tb 0.1654 0.3307 0.6695 (multiplicity 3)
Tb 0.5011 0.0021 0.0057 (multiplicity 3)
Pr 0.6667 0.3333 0.6753 (multiplicity 1)
Ho 0.3320 0.1660 0.3355 (multiplicity 3)